Structure and simulated powder diffraction line list of La4FeSe6O (a PBE+U-relaxed structure; a wavelength of 1.5418 Å).
No peak broadening, texture or thermal motion is included.

Largest 12 diffraction maxima, low angle first, 10° ≤ 2θ ≤ 90°:
Position (°2θ)  I/Imax  hkl
24.43  60.2  1 0 -2
25.08  19.9  2 0 0
30.55  51.8  1 3 1
30.64  25.5  -1 3 1
32.88  100.0  2 2 2
32.96  19.9  -2 2 2
34.07  46.1  1 0 3
34.16  44.2  -1 3 3
36.64  45.6  0 2 4
36.77  22.8  0 4 2
37.77  22.8  2 -2 1
43.78  30.7  3 0 2

Structure:
```
data_La4FeSe6O
_symmetry_space_group_name_H-M 'P 1'
_symmetry_Int_Tables_number 1
_cell_length_a 7.101
_cell_length_b 9.777
_cell_length_c 9.804
_cell_angle_alpha 60.18
_cell_angle_beta 89.87
_cell_angle_gamma 89.87
loop_
_symmetry_equiv_pos_as_xyz
'x,y,z'
loop_
_atom_site_label
_atom_site_type_symbol
_atom_site_fract_x
_atom_site_fract_y
_atom_site_fract_z
La1 La 0.000 0.000 0.000
La2 La 0.000 0.001 0.402
La3 La 0.452 0.132 0.138
La4 La 0.499 0.602 0.603
La5 La 0.500 0.200 0.602
La6 La 0.500 0.601 0.201
La7 La 0.953 0.470 0.464
La8 La 0.999 0.402 0.001
Fe1 Fe 0.153 0.802 0.803
Fe2 Fe 0.658 0.802 0.799
Se1 Se 0.212 0.332 0.740
Se2 Se 0.215 0.330 0.330
Se3 Se 0.216 0.743 0.330
Se4 Se 0.390 0.559 0.923
Se5 Se 0.390 0.923 0.558
Se6 Se 0.393 0.922 0.923
Se7 Se 0.711 0.270 0.863
Se8 Se 0.714 0.272 0.272
Se9 Se 0.714 0.859 0.273
Se10 Se 0.898 0.678 0.048
Se11 Se 0.898 0.679 0.679
Se12 Se 0.899 0.047 0.679
O1 O 0.117 0.134 0.134
O2 O 0.617 0.467 0.469
```